Calculated XRD peak list
Compound: Li2AcPN4
Radiation: copper Kα
Structure: a crystal structure in Alexandria, relaxed with PBE
Peak positions follow from Bragg's law for the DFT cell and can differ from measured ones.

Crystal structure
Lattice parameters (Å, degrees): 5.3310 5.3310 6.9931 90.00 90.00 90.00
Space group I-42m (No. 121)
One atom of each set of equivalent atoms:
Li  0.0000  0.5000  0.2500 [4 per cell]
Ac  0.0000  0.0000  0.0000 [2 per cell]
P  0.0000  0.0000  0.5000 [2 per cell]
N  0.1776  0.1776  0.3631 [8 per cell]

Principal peaks in the range 2θ from 10° to 90°, in order of rising 2θ:
21.0°, I 100, (1 0 1); 23.6°, I 86, (1 1 0); 25.5°, I 30, (0 0 2); 35.0°, I 68, (1 1 2); 40.0°, I 56, (2 1 1); 42.7°, I 34, (2 0 2)



Calculated XRD peak list
Compound: Tm3Sn4Au3
Radiation: copper Kα
Structure: a crystal structure in Alexandria, relaxed with PBE
Peak positions follow from Bragg's law for the DFT cell and can differ from measured ones.

Crystal structure
Lattice parameters (Å, degrees): 9.8829 9.8829 9.8829 90.00 90.00 90.00
Space group I-43d (No. 220)
One atom of each set of equivalent atoms:
Tm  0.0000  0.2500  0.3750 [12 per cell]
Sn  0.0894  0.0894  0.0894 [16 per cell]
Au  0.0000  0.2500  0.8750 [12 per cell]

Principal peaks in the range 2θ from 10° to 90°, in order of rising 2θ:
22.0°, I 21, (2 1 1); 33.9°, I 100, (3 2 1); 40.8°, I 50, (4 2 0); 44.9°, I 14, (4 2 2); 50.6°, I 17, (5 2 1); 65.4°, I 12, (4 4 4)



Calculated XRD peak list
Compound: Tb3Pm4Nd2
Radiation: copper Kα
Structure: a crystal structure in Alexandria, relaxed with PBE
Peak positions follow from Bragg's law for the DFT cell and can differ from measured ones.

Crystal structure
Lattice parameters (Å, degrees): 16.5310 11.8123 6.2359 90.00 96.19 90.00
Space group C2/c (No. 15)
One atom of each set of equivalent atoms:
Tb  0.0000  0.0999  0.2500 [4 per cell]
Tb  0.1663  0.4004  0.0855 [8 per cell]
Pm  0.0473  0.3602  0.5145 [8 per cell]
Pm  0.2146  0.1396  0.3479 [8 per cell]
Nd  0.1198  0.1405  0.8198 [8 per cell]

Principal peaks in the range 2θ from 10° to 90°, in order of rising 2θ:
29.7°, I 58, (1 1 -2); 30.3°, I 100, (0 4 0); 31.3°, I 93, (4 2 1); 36.8°, I 30, (1 3 -2); 37.3°, I 27, (5 3 -1); 54.4°, I 20, (4 6 1)